For Na3MnF8, a structure optimized by DFT (GGA+U) gives the theoretical powder diffractogram in this record (Cu Kα X-rays).
Neutral-atom scattering factors, no anomalous dispersion.

Principal peaks in the range 2θ from 10° to 80°, in order of falling intensity:
- (2 2 0), d 1.863, I = 100
- (1 1 1), d 3.043, I = 75
- (1 0 0), d 5.271, I = 49
- (3 1 1), d 1.589, I = 27
- (1 1 0), d 3.727, I = 15
- (3 2 0), d 1.462, I = 11
- (4 0 0), d 1.318, I = 11
- (3 3 1), d 1.209, I = 11
- (2 2 1), d 1.757, I = 8
- (3 2 1), d 1.409, I = 4

Crystal structure
a = 5.2707 Å, b = 5.2707 Å, c = 5.2707 Å
α = 90.00°, β = 90.00°, γ = 90.00°
Space group Pm-3m (No. 221)
Inequivalent atoms, fractional coordinates:
Na: 0.0000 0.0000 0.5000
Mn: 0.5000 0.5000 0.5000
F: 0.2779 0.2779 0.2779